Computed XRD peak list of HfZr2Ni4P4 for Cu Kα X-rays, from a DFT-relaxed cell (GGA-PBE, OQMD).
Neutral-atom scattering factors, no anomalous dispersion.

Largest 12 diffraction maxima, by intensity, 10 to 90 degrees two-theta:
Position (°2θ)	d (Å)	I/Imax	hkl
28.16	3.168	1000	1 1 2
46.88	1.938	718	2 0 4
37.47	2.400	590	2 1 1
32.55	2.751	421	2 0 0
44.44	2.039	385	2 1 3
46.69	1.945	365	2 2 0
50.46	1.809	312	3 0 1
58.24	1.584	284	2 2 4
29.42	3.036	260	1 0 3
44.64	2.030	239	1 0 5
32.80	2.730	209	0 0 4
86.83	1.122	189	4 2 4

Cell and atoms:
```
data_HfZr2Ni4P4
_chemical_formula_sum 'Hf2 Zr4 Ni8 P8'
_cell_length_a 5.502
_cell_length_b 5.502
_cell_length_c 10.920
_cell_angle_alpha 90.00
_cell_angle_beta 90.00
_cell_angle_gamma 90.00
_space_group_name_H-M_alt 'I -4 2 m'
_space_group_IT_number 121
_space_group_name_Hall 'I -4 2'
loop_
_atom_site_label
_atom_site_fract_x
_atom_site_fract_y
_atom_site_fract_z
_atom_site_occupancy
Hf1 0.000 0.000 0.000 1
Zr1 0.000 0.500 0.250 1
Ni1 0.167 0.167 0.417 1
P1 0.000 0.000 0.248 1
P2 0.000 0.500 0.000 1
```

Computed XRD peak list of KPAuN for Cu Kα X-rays, from a DFT-relaxed cell (GGA-PBE, OQMD).
Neutral-atom scattering factors, no anomalous dispersion.

Largest 12 diffraction maxima, by intensity, 10 to 90 degrees two-theta:
Position (°2θ)	d (Å)	I/Imax	hkl
19.59	4.531	1000	1 1 -1
32.52	2.753	902	3 1 -1
28.82	3.098	498	0 2 1
19.08	4.651	386	0 2 0
44.66	2.029	335	2 4 -1
34.58	2.594	299	2 0 -2
31.61	2.830	297	1 3 0
32.21	2.779	293	2 2 0
47.97	1.896	187	4 2 -2
47.55	1.912	172	1 3 -2
42.84	2.111	167	1 3 1
25.70	3.467	165	2 0 0

Cell and atoms:
```
data_KPAuN
_chemical_formula_sum 'K4 P4 Au4 N4'
_cell_length_a 8.653
_cell_length_b 9.301
_cell_length_c 5.188
_cell_angle_alpha 90.00
_cell_angle_beta 126.75
_cell_angle_gamma 90.00
_space_group_name_H-M_alt 'C 1 c 1'
_space_group_IT_number 9
loop_
_space_group_symop_operation_xyz
'x,y,z'
'x,-y,z+1/2'
'x+1/2,y+1/2,z'
'x+1/2,-y+1/2,z+1/2'
loop_
_atom_site_label
_atom_site_fract_x
_atom_site_fract_y
_atom_site_fract_z
_atom_site_occupancy
K1 0.000 0.147 0.000 1
P1 0.418 0.084 0.947 1
Au1 0.220 0.299 0.713 1
N1 0.352 0.048 0.182 1
```

Computed XRD peak list of MgCd for Cu Kα X-rays, from a DFT-relaxed cell (GGA-PBE, OQMD).
Neutral-atom scattering factors, no anomalous dispersion.

Largest 12 diffraction maxima, by intensity, 10 to 90 degrees two-theta:
Position (°2θ)	d (Å)	I/Imax	hkl
37.34	2.409	1000	1 1 1
24.59	3.620	596	1 0 1
35.88	2.503	338	2 0 0
38.79	2.322	308	1 0 2
27.65	3.226	270	0 1 0
65.44	1.426	179	3 1 1
34.22	2.621	166	0 0 2
32.59	2.748	151	0 1 1
16.92	5.241	150	0 0 1
72.14	1.309	149	2 1 3
45.89	1.978	133	2 1 0
48.29	1.884	131	1 1 2

Cell and atoms:
```
data_MgCd
_chemical_formula_sum 'Mg2 Cd2'
_cell_length_a 5.006
_cell_length_b 3.226
_cell_length_c 5.241
_cell_angle_alpha 90.00
_cell_angle_beta 90.00
_cell_angle_gamma 90.00
_space_group_name_H-M_alt 'P m m a'
_space_group_IT_number 51
loop_
_space_group_symop_operation_xyz
'x,y,z'
'-x,-y,-z'
'-x+1/2,-y,z'
'x+1/2,y,-z'
'x+1/2,-y,-z'
'-x+1/2,y,z'
'-x,y,-z'
'x,-y,z'
loop_
_atom_site_label
_atom_site_fract_x
_atom_site_fract_y
_atom_site_fract_z
_atom_site_occupancy
Mg1 0.250 0.000 0.183 1
Cd1 0.250 0.500 0.682 1
```

Computed XRD peak list of BaGa2Ir2 for Cu Kα X-rays, from a DFT-relaxed cell (GGA-PBE, OQMD).
Neutral-atom scattering factors, no anomalous dispersion.

Largest 12 diffraction maxima, by intensity, 10 to 90 degrees two-theta:
Position (°2θ)	d (Å)	I/Imax	hkl
35.30	2.543	1000	1 3 3
18.00	4.929	847	1 1 1
25.86	3.445	795	1 1 3
33.91	2.644	730	2 2 0
44.47	2.037	665	1 3 5
43.33	2.088	483	2 2 4
33.63	2.665	483	0 4 0
37.12	2.422	457	1 1 5
32.21	2.780	442	2 0 2
60.32	1.534	330	2 6 0
85.12	1.140	295	2 6 8
55.97	1.643	269	3 3 3

Cell and atoms:
```
data_BaGa2Ir2
_chemical_formula_sum 'Ba8 Ga16 Ir16'
_cell_length_a 6.089
_cell_length_b 10.659
_cell_length_c 13.623
_cell_angle_alpha 90.00
_cell_angle_beta 90.00
_cell_angle_gamma 90.00
_space_group_name_H-M_alt 'F d d d'
_space_group_IT_number 70
loop_
_space_group_symop_operation_xyz
'x,y,z'
'-x,-y,-z'
'-x+1/4,-y+1/4,z'
'x+1/4,y+1/4,-z'
'x,-y+1/4,-z+1/4'
'-x,y+1/4,z+1/4'
'-x+1/4,y,-z+1/4'
'x+1/4,-y,z+1/4'
'x,y+1/2,z+1/2'
'-x,-y+1/2,-z+1/2'
'-x+1/4,-y+3/4,z+1/2'
'x+1/4,y+3/4,-z+1/2'
'x,-y+3/4,-z+3/4'
'-x,y+3/4,z+3/4'
'-x+1/4,y+1/2,-z+3/4'
'x+1/4,-y+1/2,z+3/4'
'x+1/2,y,z+1/2'
'-x+1/2,-y,-z+1/2'
'-x+3/4,-y+1/4,z+1/2'
'x+3/4,y+1/4,-z+1/2'
'x+1/2,-y+1/4,-z+3/4'
'-x+1/2,y+1/4,z+3/4'
'-x+3/4,y,-z+3/4'
'x+3/4,-y,z+3/4'
'x+1/2,y+1/2,z'
'-x+1/2,-y+1/2,-z'
'-x+3/4,-y+3/4,z'
'x+3/4,y+3/4,-z'
'x+1/2,-y+3/4,-z+1/4'
'-x+1/2,y+3/4,z+1/4'
'-x+3/4,y+1/2,-z+1/4'
'x+3/4,-y+1/2,z+1/4'
loop_
_atom_site_label
_atom_site_fract_x
_atom_site_fract_y
_atom_site_fract_z
_atom_site_occupancy
Ba1 0.125 0.125 0.125 1
Ga1 0.125 0.303 0.625 1
Ir1 0.125 0.125 0.505 1
```